This entry pairs a crystal structure of TlPPdS4 with its computed powder X-ray diffraction pattern. Radiation: CuKα. Structure: a crystal structure in OQMD, relaxed with PBE.
Intensities are scaled so that the largest is 100.

Largest 10 diffraction maxima, by intensity, 10 to 90 degrees two-theta:
2theta	d/Å	Rel. int.
21.21	4.189	100
22.16	4.011	66
38.33	2.349	55
36.59	2.456	46
31.55	2.836	32
43.19	2.095	26
54.46	1.685	23
59.51	1.553	22
14.25	6.213	21
50.91	1.794	18

abc: 8.413 8.413 8.413
angles: 123.05 123.05 84.79
Element x y z (fractional)
Tl (0.250, 0.250, 0.000)
Tl (0.750, 0.750, 0.000)
P (0.250, 0.750, 0.500)
P (0.750, 0.250, 0.500)
Pd (0.000, 0.500, 0.500)
Pd (0.500, 0.000, 0.500)
S (0.004, 0.504, 0.225)
S (0.221, 0.996, 0.500)
S (0.279, 0.779, 0.775)
S (0.496, 0.721, 0.500)
S (0.504, 0.279, 0.500)
S (0.721, 0.221, 0.225)
S (0.779, 0.004, 0.500)
S (0.996, 0.496, 0.775)

This entry pairs a crystal structure of SrPPd3 with its computed powder X-ray diffraction pattern. Radiation: CuKα. Structure: a crystal structure in OQMD, relaxed with PBE.
Intensities are scaled so that the largest is 100.

Largest 10 diffraction maxima, by intensity, 10 to 90 degrees two-theta:
2theta	d/Å	Rel. int.
33.90	2.644	100
40.52	2.226	43
36.90	2.436	16
69.49	1.353	16
55.95	1.643	14
42.29	2.137	14
47.17	1.927	13
58.64	1.574	11
18.21	4.872	9
60.01	1.542	8

abc: 11.601 11.601 11.601
angles: 134.86 134.86 65.75
Element x y z (fractional)
Sr (0.000, 0.000, 0.000)
Sr (0.217, 0.217, 0.000)
Sr (0.236, 0.736, 0.500)
Sr (0.480, 0.980, 0.500)
Sr (0.486, 0.486, 0.000)
Sr (0.730, 0.730, 0.000)
Sr (0.750, 0.250, 0.500)
Sr (0.967, 0.467, 0.500)
P (0.143, 0.154, 0.503)
P (0.143, 0.640, 0.989)
P (0.390, 0.393, 0.489)
P (0.390, 0.901, 0.997)
P (0.651, 0.154, 0.011)
P (0.651, 0.640, 0.497)
P (0.904, 0.393, 0.003)
P (0.904, 0.901, 0.511)
Pd (0.015, 0.017, 0.500)
Pd (0.015, 0.515, 0.998)
Pd (0.106, 0.408, 0.302)
Pd (0.106, 0.804, 0.698)
Pd (0.117, 0.859, 0.258)
Pd (0.158, 0.356, 0.802)
Pd (0.265, 0.265, 0.498)
Pd (0.265, 0.768, 0.000)
Pd (0.357, 0.097, 0.740)
Pd (0.357, 0.617, 0.260)
Pd (0.367, 0.607, 0.760)
Pd (0.416, 0.112, 0.304)
Pd (0.518, 0.017, 0.002)
Pd (0.518, 0.515, 0.500)
Pd (0.554, 0.356, 0.198)
Pd (0.601, 0.859, 0.742)
Pd (0.609, 0.367, 0.758)
Pd (0.609, 0.851, 0.242)
Pd (0.767, 0.265, 0.000)
Pd (0.767, 0.768, 0.502)
Pd (0.808, 0.112, 0.696)
Pd (0.847, 0.607, 0.240)
Pd (0.862, 0.058, 0.196)
Pd (0.862, 0.666, 0.804)

This entry pairs a crystal structure of Sr3P4Pd4 with its computed powder X-ray diffraction pattern. Radiation: CuKα. Structure: a crystal structure in OQMD, relaxed with PBE.
Intensities are scaled so that the largest is 100.

Largest 10 diffraction maxima, by intensity, 10 to 90 degrees two-theta:
2theta	d/Å	Rel. int.
33.23	2.696	100
42.07	2.148	30
30.16	2.963	27
42.68	2.119	22
43.14	2.097	21
61.47	1.508	14
61.83	1.501	14
71.26	1.323	11
68.71	1.366	11
53.54	1.712	10

abc: 4.194 4.296 12.274
angles: 90.00 90.00 90.00
Element x y z (fractional)
Sr (0.000, 0.000, 0.000)
Sr (0.500, 0.000, 0.297)
Sr (0.500, 0.000, 0.703)
P (0.000, 0.500, 0.387)
P (0.000, 0.500, 0.613)
P (0.500, 0.500, 0.094)
P (0.500, 0.500, 0.906)
Pd (0.000, 0.000, 0.500)
Pd (0.000, 0.500, 0.190)
Pd (0.000, 0.500, 0.810)
Pd (0.500, 0.500, 0.500)

This entry pairs a crystal structure of Te8P2Pd3 with its computed powder X-ray diffraction pattern. Radiation: CuKα. Structure: a crystal structure in OQMD, relaxed with PBE.
Intensities are scaled so that the largest is 100.

Largest 10 diffraction maxima, by intensity, 10 to 90 degrees two-theta:
2theta	d/Å	Rel. int.
28.25	3.159	100
11.27	7.851	52
34.61	2.591	51
45.54	1.992	41
25.07	3.553	34
26.12	3.412	24
12.83	6.900	23
49.33	1.847	17
43.40	2.085	17
54.46	1.685	15

abc: 7.968 7.968 7.851
angles: 90.00 90.00 120.00
Element x y z (fractional)
Te (0.178, 0.355, 0.318)
Te (0.178, 0.822, 0.318)
Te (0.333, 0.667, 0.839)
Te (0.355, 0.178, 0.682)
Te (0.645, 0.822, 0.318)
Te (0.667, 0.333, 0.161)
Te (0.822, 0.178, 0.682)
Te (0.822, 0.645, 0.682)
P (0.333, 0.667, 0.139)
P (0.667, 0.333, 0.861)
Pd (0.000, 0.500, 0.500)
Pd (0.500, 0.000, 0.500)
Pd (0.500, 0.500, 0.500)

This entry pairs a crystal structure of TlPPd5 with its computed powder X-ray diffraction pattern. Radiation: CuKα. Structure: a crystal structure in OQMD, relaxed with PBE.
Intensities are scaled so that the largest is 100.

Largest 10 diffraction maxima, by intensity, 10 to 90 degrees two-theta:
2theta	d/Å	Rel. int.
40.69	2.217	100
34.07	2.632	63
45.29	2.002	48
60.45	1.531	28
37.85	2.377	28
80.48	1.193	27
74.49	1.274	18
12.41	7.131	16
65.98	1.416	15
78.66	1.216	13

abc: 4.005 4.005 7.131
angles: 90.00 90.00 90.00
Element x y z (fractional)
Tl (0.000, 0.000, 0.000)
P (0.500, 0.500, 0.500)
Pd (0.000, 0.500, 0.304)
Pd (0.000, 0.500, 0.696)
Pd (0.500, 0.000, 0.304)
Pd (0.500, 0.000, 0.696)
Pd (0.500, 0.500, 0.000)

This entry pairs a crystal structure of Zr3PPd with its computed powder X-ray diffraction pattern. Radiation: CuKα. Structure: a crystal structure in OQMD, relaxed with PBE.
Intensities are scaled so that the largest is 100.

Largest 10 diffraction maxima, by intensity, 10 to 90 degrees two-theta:
2theta	d/Å	Rel. int.
35.17	2.552	100
31.72	2.821	77
38.18	2.357	69
33.89	2.645	58
31.84	2.811	41
50.70	1.801	29
50.47	1.808	29
59.16	1.562	28
36.02	2.493	27
60.86	1.522	23

abc: 6.094 6.094 9.675
angles: 90.00 90.00 145.48
Element x y z (fractional)
Zr (0.067, 0.933, 0.750)
Zr (0.355, 0.645, 0.568)
Zr (0.355, 0.645, 0.932)
Zr (0.645, 0.355, 0.068)
Zr (0.645, 0.355, 0.432)
Zr (0.933, 0.067, 0.250)
P (0.000, 0.000, 0.000)
P (0.000, 0.000, 0.500)
Pd (0.251, 0.749, 0.250)
Pd (0.749, 0.251, 0.750)

This entry pairs a crystal structure of Pm2PrP3 with its computed powder X-ray diffraction pattern. Radiation: CuKα. Structure: a crystal structure in OQMD, relaxed with PBE.
Intensities are scaled so that the largest is 100.

Largest 10 diffraction maxima, by intensity, 10 to 90 degrees two-theta:
2theta	d/Å	Rel. int.
30.43	2.937	100
26.28	3.392	80
43.58	2.077	73
51.60	1.771	40
71.88	1.314	33
54.08	1.696	26
80.02	1.199	25
69.79	1.348	16
85.99	1.131	12
63.33	1.469	12

abc: 4.154 4.154 10.174
angles: 90.00 90.00 120.00
Element x y z (fractional)
Pm (0.333, 0.667, 0.335)
Pm (0.667, 0.333, 0.665)
Pr (0.000, 0.000, 0.000)
P (0.000, 0.000, 0.500)
P (0.333, 0.667, 0.829)
P (0.667, 0.333, 0.171)

This entry pairs a crystal structure of Pm4PS3 with its computed powder X-ray diffraction pattern. Radiation: CuKα. Structure: a crystal structure in OQMD, relaxed with PBE.
Intensities are scaled so that the largest is 100.

Largest 10 diffraction maxima, by intensity, 10 to 90 degrees two-theta:
2theta	d/Å	Rel. int.
31.19	2.868	100
26.92	3.312	77
44.68	2.028	73
52.94	1.729	38
73.89	1.283	32
55.50	1.656	25
82.36	1.171	24
71.72	1.316	15
88.59	1.104	12
65.04	1.434	12

abc: 5.736 5.736 5.736
angles: 90.00 90.00 90.00
Element x y z (fractional)
Pm (0.000, 0.000, 0.000)
Pm (0.000, 0.500, 0.500)
Pm (0.500, 0.000, 0.500)
Pm (0.500, 0.500, 0.000)
P (0.500, 0.500, 0.500)
S (0.000, 0.000, 0.500)
S (0.000, 0.500, 0.000)
S (0.500, 0.000, 0.000)

Repeat the fifth record exactly.
This entry pairs a crystal structure of TlPPd5 with its computed powder X-ray diffraction pattern. Radiation: CuKα. Structure: a crystal structure in OQMD, relaxed with PBE.
Intensities are scaled so that the largest is 100.

Largest 10 diffraction maxima, by intensity, 10 to 90 degrees two-theta:
2theta	d/Å	Rel. int.
40.69	2.217	100
34.07	2.632	63
45.29	2.002	48
60.45	1.531	28
37.85	2.377	28
80.48	1.193	27
74.49	1.274	18
12.41	7.131	16
65.98	1.416	15
78.66	1.216	13

abc: 4.005 4.005 7.131
angles: 90.00 90.00 90.00
Element x y z (fractional)
Tl (0.000, 0.000, 0.000)
P (0.500, 0.500, 0.500)
Pd (0.000, 0.500, 0.304)
Pd (0.000, 0.500, 0.696)
Pd (0.500, 0.000, 0.304)
Pd (0.500, 0.000, 0.696)
Pd (0.500, 0.500, 0.000)

Q: What is the formula in the second record?
A: SrPPd3

Q: Which formula does entry 8 have?
A: Pm4PS3